No. 1
Calculated X-ray powder pattern
Compound: Pm2YErSc
Radiation: Cu Kα, 1.54184 Å
Structure: DFT lattice parameters and positions (GGA-PBE)

Most intense lines, 2θ = 10–90°, by angle:
2θ (°)  Rel. int.
11.2  14
22.5  14
30.0  100
34.6  26
36.0  32
39.6  37
53.2  15
53.6  15
65.9  15
66.0  21

Structural model:
Lattice parameters (Å, degrees): 8.530 8.530 6.438 90.00 90.00 135.69
Element x y z (fractional)
Pm1 0.249 0.249 0.000
Pm2 0.249 0.249 0.500
Pm3 0.751 0.751 0.000
Pm4 0.751 0.751 0.500
Y1 0.250 0.750 0.750
Y2 0.750 0.250 0.250
Er1 0.340 0.660 0.250
Er2 0.660 0.340 0.750
Sc1 0.155 0.845 0.250
Sc2 0.845 0.155 0.750

No. 2
Calculated X-ray powder pattern
Compound: SrTlCuI4
Radiation: Cu Kα, 1.54184 Å
Structure: DFT lattice parameters and positions (GGA-PBE)

Most intense lines, 2θ = 10–90°, by angle:
2θ (°)  Rel. int.
22.0  44
25.3  100
26.3  59
26.7  69
28.6  89
28.9  74
29.6  73
29.7  68
33.5  47
37.8  58

Structural model:
Lattice parameters (Å, degrees): 7.489 8.075 9.530 90.00 107.71 90.00
Element x y z (fractional)
Sr1 0.230 0.250 0.059
Sr2 0.770 0.750 0.941
Tl1 0.244 0.250 0.556
Tl2 0.756 0.750 0.444
Cu1 0.225 0.750 0.818
Cu2 0.775 0.250 0.182
I1 0.004 0.505 0.230
I2 0.004 0.995 0.230
I3 0.422 0.750 0.632
I4 0.437 0.750 0.096
I5 0.563 0.250 0.904
I6 0.578 0.250 0.368
I7 0.996 0.005 0.770
I8 0.996 0.495 0.770

No. 3
Calculated X-ray powder pattern
Compound: SnPbO3
Radiation: Cu Kα, 1.54184 Å
Structure: DFT lattice parameters and positions (GGA-PBE)

Most intense lines, 2θ = 10–90°, by angle:
2θ (°)  Rel. int.
12.0  25
24.0  36
27.6  20
29.6  100
32.0  68
40.9  16
44.1  31
50.9  21
55.5  16
61.4  17

Structural model:
Lattice parameters (Å, degrees): 8.928 8.928 8.928 112.02 112.02 112.02
Element x y z (fractional)
Sn1 0.048 0.259 0.829
Sn2 0.171 0.952 0.741
Sn3 0.259 0.829 0.048
Sn4 0.741 0.171 0.952
Sn5 0.829 0.048 0.259
Sn6 0.952 0.741 0.171
Pb1 0.178 0.589 0.431
Pb2 0.411 0.569 0.822
Pb3 0.431 0.178 0.589
Pb4 0.569 0.822 0.411
Pb5 0.589 0.431 0.178
Pb6 0.822 0.411 0.569
O1 0.020 0.743 0.425
O2 0.048 0.326 0.076
O3 0.076 0.048 0.326
O4 0.141 0.698 0.731
O5 0.257 0.575 0.980
O6 0.269 0.859 0.302
O7 0.302 0.269 0.859
O8 0.326 0.076 0.048
O9 0.425 0.020 0.743
O10 0.575 0.980 0.257
O11 0.674 0.924 0.952
O12 0.698 0.731 0.141
O13 0.731 0.141 0.698
O14 0.743 0.425 0.020
O15 0.859 0.302 0.269
O16 0.924 0.952 0.674
O17 0.952 0.674 0.924
O18 0.980 0.257 0.575

No. 4
Calculated X-ray powder pattern
Compound: Ba2NdF8
Radiation: Cu Kα, 1.54184 Å
Structure: DFT lattice parameters and positions (GGA-PBE)

Most intense lines, 2θ = 10–90°, by angle:
2θ (°)  Rel. int.
24.0  66
24.6  52
25.3  100
28.5  32
28.9  69
40.0  26
40.7  41
41.4  59
42.6  30
47.6  39

Structural model:
Lattice parameters (Å, degrees): 9.837 9.837 4.507 101.79 101.79 24.93
Element x y z (fractional)
Ba1 0.169 0.169 0.182
Ba2 0.831 0.831 0.818
Nd1 0.500 0.500 0.500
F1 0.045 0.045 0.355
F2 0.248 0.248 0.748
F3 0.368 0.368 0.393
F4 0.433 0.433 0.995
F5 0.567 0.567 0.005
F6 0.632 0.632 0.607
F7 0.752 0.752 0.252
F8 0.955 0.955 0.645